The following is a computed powder diffraction line list of KCrHgAs2. It was derived from a DFT-relaxed cell (PBE, Alexandria), using Cu Kα (weighted mean of Kα1 and Kα2).
Intensities are scaled so that the largest is 100.

Top 10 peaks for 5° ≤ 2θ ≤ 70°, in order of falling intensity:
two_theta	Rel. int.
27.7	100
31.8	52
22.6	41
46.2	37
54.3	31
32.6	25
39.4	20
57.2	19
45.7	19
55.3	15

Cell lengths 5.620, 5.620, 5.487 Å; angles 90.00, 90.00, 90.00 degrees
Positions (direct):
K  0.000  0.000  0.000
Cr  0.000  0.000  0.500
Hg  0.500  0.500  0.500
As  0.000  0.500  0.000
As  0.500  0.000  0.000